# NaLi5Mn2P2C2O14
Calculated PXRD pattern, λ = 1.5418 Å (Cu Kα). Input: a PBE+U-relaxed structure.

Structural model:
Unit cell a=8.644 b=6.672 c=9.995 alpha=90.00 beta=92.36 gamma=90.00
Fractional coordinates of all 52 atoms:
Na: 0.000 0.249 0.000
Na: 0.000 0.751 0.500
Li: 0.024 0.277 0.512
Li: 0.024 0.723 0.012
Li: 0.487 0.223 0.242
Li: 0.487 0.777 0.742
Li: 0.489 0.224 0.744
Li: 0.489 0.776 0.244
Li: 0.664 0.012 0.499
Li: 0.664 0.988 0.999
Li: 0.838 0.493 0.255
Li: 0.838 0.507 0.755
Mn: 0.108 0.003 0.741
Mn: 0.108 0.997 0.241
Mn: 0.403 0.498 0.017
Mn: 0.403 0.502 0.517
P: 0.163 0.495 0.276
P: 0.163 0.505 0.776
P: 0.348 0.006 0.486
P: 0.348 0.994 0.986
C: 0.711 0.490 0.488
C: 0.711 0.510 0.988
C: 0.791 0.002 0.263
C: 0.791 0.998 0.763
O: 0.063 0.320 0.730
O: 0.063 0.680 0.230
O: 0.068 0.311 0.223
O: 0.068 0.689 0.723
O: 0.176 0.486 0.432
O: 0.176 0.514 0.932
O: 0.180 0.021 0.534
O: 0.180 0.979 0.034
O: 0.330 0.498 0.724
O: 0.330 0.502 0.224
O: 0.337 0.001 0.329
O: 0.337 0.999 0.829
O: 0.436 0.181 0.040
O: 0.436 0.819 0.540
O: 0.451 0.185 0.535
O: 0.451 0.815 0.035
O: 0.605 0.494 0.893
O: 0.605 0.506 0.393
O: 0.646 0.001 0.293
O: 0.646 0.999 0.793
O: 0.674 0.499 0.113
O: 0.674 0.501 0.613
O: 0.832 0.004 0.139
O: 0.832 0.996 0.639
O: 0.854 0.465 0.456
O: 0.854 0.535 0.956
O: 0.897 0.001 0.859
O: 0.897 0.999 0.359

Principal peaks in the range 2θ = 10–90°, low angle first:
two_theta	d/Å	intensity	index
10.24	8.637	78	1 0 0
20.17	4.402	24	1 0 -2
20.91	4.248	24	1 0 2
26.72	3.336	100	0 2 0
31.04	2.881	18	3 0 0
33.96	2.640	18	2 2 0
35.97	2.497	23	0 0 4
50.34	1.813	18	4 2 0